[1]
This entry pairs a crystal structure of V2Ga5 with its calculated powder XRD pattern. Radiation: Cu Kα (λ = 1.5418 Å). Structure: DFT lattice parameters and positions (PBE).
Kinematic intensities with the Lorentz-polarization factor, no thermal factor.

Cell and atoms:
a b c (Å): 8.993 8.993 2.682
angles (deg): 90.00 90.00 90.00
Space group P4/mbm (No. 127)
One atom of each set of equivalent atoms:
V (0.180, 0.320, 0.000) x4
Ga (0.000, 0.500, 0.500) x2
Ga (0.061, 0.794, 0.500) x8

Main lines, by intensity (15° ≤ 2θ ≤ 90°):
2θ/deg  d_spacing  intensity  h k l
41.40  2.181  100  4 1 0
46.55  1.951  71  3 1 1
40.42  2.231  53  2 1 1
33.41  2.682  42  0 0 1
42.66  2.120  39  3 3 0
31.46  2.844  37  3 1 0
49.93  1.826  37  3 2 1
36.01  2.494  27  3 2 0
70.19  1.341  24  0 0 2
44.18  2.050  23  2 2 1

---

[2]
This entry pairs a crystal structure of U2Co3Si5 with its calculated powder XRD pattern. Radiation: Cu Kα (λ = 1.5418 Å). Structure: DFT lattice parameters and positions (PBE).
Kinematic intensities with the Lorentz-polarization factor, no thermal factor.

Cell and atoms:
a b c (Å): 9.600 11.043 5.575
angles (deg): 90.00 90.00 90.00
Space group Ibam (No. 72)
One atom of each set of equivalent atoms:
U (0.234, 0.134, 0.000) x8
Co (0.000, 0.500, 0.250) x4
Co (0.115, 0.139, 0.500) x8
Si (0.000, 0.000, 0.250) x4
Si (0.000, 0.271, 0.250) x8
Si (0.153, 0.397, 0.000) x8

Main lines, by intensity (15° ≤ 2θ ≤ 90°):
2θ/deg  d_spacing  intensity  h k l
36.22  2.480  100  3 2 1
24.51  3.631  93  1 2 1
37.30  2.411  58  2 0 2
37.58  2.393  50  2 4 0
46.28  1.962  47  0 4 2
18.48  4.800  36  2 0 0
53.10  1.725  29  5 2 1
32.11  2.788  27  0 0 2
32.43  2.761  25  0 4 0
59.95  1.543  23  3 2 3

---

[3]
This entry pairs a crystal structure of Zn11Co2 with its calculated powder XRD pattern. Radiation: Cu Kα (λ = 1.5418 Å). Structure: DFT lattice parameters and positions (PBE).
Kinematic intensities with the Lorentz-polarization factor, no thermal factor.

Cell and atoms:
a b c (Å): 8.980 8.980 8.980
angles (deg): 90.00 90.00 90.00
Space group I-43m (No. 217)
One atom of each set of equivalent atoms:
Zn (0.000, 0.000, 0.354) x12
Zn (0.047, 0.305, 0.305) x24
Zn (0.104, 0.104, 0.104) x8
Co (0.172, 0.172, 0.828) x8

Main lines, by intensity (15° ≤ 2θ ≤ 90°):
2θ/deg  d_spacing  intensity  h k l
42.72  2.117  100  3 3 0
78.22  1.222  16  6 3 3
47.49  1.915  9  3 3 2
88.44  1.105  8  7 4 1
34.60  2.592  8  2 2 2
72.99  1.296  6  4 4 4
62.00  1.497  6  6 0 0
71.21  1.324  5  6 3 1
37.47  2.400  5  3 2 1
74.75  1.270  5  5 5 0

---

[4]
This entry pairs a crystal structure of ZnCr2S5 with its calculated powder XRD pattern. Radiation: Cu Kα (λ = 1.5418 Å). Structure: DFT lattice parameters and positions (PBE).
Kinematic intensities with the Lorentz-polarization factor, no thermal factor.

Cell and atoms:
a b c (Å): 3.628 13.991 6.476
angles (deg): 90.00 90.00 90.00
Space group Pmmn (No. 59, origin choice 2)
One atom of each set of equivalent atoms:
Zn (0.250, 0.250, 0.089) x2
Cr (0.250, 0.600, 0.490) x4
S (0.250, 0.046, 0.315) x4
S (0.250, 0.674, 0.170) x4
S (0.250, 0.750, 0.673) x2

Main lines, by intensity (15° ≤ 2θ ≤ 90°):
2θ/deg  d_spacing  intensity  h k l
18.67  4.752  100  0 2 1
28.96  3.084  79  0 4 1
42.13  2.145  58  1 3 2
39.46  2.283  55  1 2 2
28.20  3.165  48  1 0 1
34.93  2.569  40  0 5 1
54.28  1.690  38  1 7 1
50.30  1.814  27  2 0 0
53.13  1.724  24  1 3 3
40.72  2.216  21  1 5 0

---

[5]
This entry pairs a crystal structure of Cr3Mo2C4 with its calculated powder XRD pattern. Radiation: Cu Kα (λ = 1.5418 Å). Structure: DFT lattice parameters and positions (PBE).
Kinematic intensities with the Lorentz-polarization factor, no thermal factor.

Cell and atoms:
a b c (Å): 2.9676 2.9676 35.1276
angles (deg): 90.00 90.00 120.00
Space group R3m (No. 160, hexagonal axes)
One atom of each set of equivalent atoms:
Cr (0.0000, 0.0000, 0.0000) x3
Cr (0.0000, 0.0000, 0.2062) x3
Cr (0.0000, 0.0000, 0.6067) x3
Mo (0.0000, 0.0000, 0.3983) x3
Mo (0.0000, 0.0000, 0.8054) x3
C (0.0000, 0.0000, 0.0993) x3
C (0.0000, 0.0000, 0.3082) x3
C (0.0000, 0.0000, 0.5090) x3
C (0.0000, 0.0000, 0.9077) x3

Main lines, by intensity (15° ≤ 2θ ≤ 90°):
2θ/deg  d_spacing  intensity  h k l
37.25  2.414  100  0 1 5
43.64  2.074  94  1 0 10
62.61  1.484  31  1 1 0
38.44  2.342  28  0 0 15
64.23  1.450  22  0 1 20
75.91  1.253  21  1 1 15
79.41  1.207  14  0 2 10
75.16  1.264  12  2 0 5
39.39  2.287  10  1 0 7
77.41  1.233  9  1 0 25

---

[6]
This entry pairs a crystal structure of Li2AlRh with its calculated powder XRD pattern. Radiation: Cu Kα (λ = 1.5418 Å). Structure: DFT lattice parameters and positions (PBE).
Kinematic intensities with the Lorentz-polarization factor, no thermal factor.

Cell and atoms:
a b c (Å): 6.009 6.009 6.009
angles (deg): 90.00 90.00 90.00
Space group F-43m (No. 216)
One atom of each set of equivalent atoms:
Li (0.000, 0.000, 0.000) x4
Li (0.250, 0.250, 0.250) x4
Al (0.000, 0.000, 0.500) x4
Rh (0.250, 0.250, 0.750) x4

Main lines, by intensity (15° ≤ 2θ ≤ 90°):
2θ/deg  d_spacing  intensity  h k l
25.68  3.469  100  1 1 1
42.55  2.124  73  2 2 0
50.37  1.812  46  3 1 1
29.74  3.004  30  2 0 0
77.88  1.227  24  4 2 2
68.00  1.379  18  3 3 1
83.62  1.156  14  5 1 1
61.75  1.502  12  4 0 0
70.02  1.344  10  4 2 0
52.77  1.735  8  2 2 2

---

[7]
This entry pairs a crystal structure of Ba3ZnHg10 with its calculated powder XRD pattern. Radiation: Cu Kα (λ = 1.5418 Å). Structure: DFT lattice parameters and positions (PBE).
Kinematic intensities with the Lorentz-polarization factor, no thermal factor.

Cell and atoms:
a b c (Å): 7.426 17.679 6.272
angles (deg): 90.00 90.00 90.00
Space group Pmm2 (No. 25)
One atom of each set of equivalent atoms:
Ba (0.000, 0.000, 0.000) x1
Ba (0.000, 0.317, 0.629) x2
Ba (0.500, 0.179, 0.277) x2
Ba (0.500, 0.500, 0.910) x1
Zn (0.000, 0.111, 0.480) x2
Hg (0.000, 0.199, 0.124) x2
Hg (0.000, 0.500, 0.931) x1
Hg (0.196, 0.500, 0.437) x2
Hg (0.210, 0.352, 0.115) x4
Hg (0.277, 0.146, 0.780) x4
Hg (0.288, 0.000, 0.469) x2
Hg (0.500, 0.000, 0.974) x1
Hg (0.500, 0.293, 0.811) x2
Hg (0.500, 0.387, 0.432) x2

Main lines, by intensity (15° ≤ 2θ ≤ 90°):
2θ/deg  d_spacing  intensity  h k l
34.64  2.590  100  2 4 1
30.29  2.951  83  0 6 0
31.86  2.809  58  2 3 1
28.39  3.144  38  2 1 1
31.45  2.845  32  1 5 1
29.73  3.005  28  2 2 1
37.93  2.372  25  2 5 1
30.95  2.889  22  1 0 2
38.42  2.343  21  0 7 1
59.67  1.549  21  2 6 3

---

[8]
This entry pairs a crystal structure of AsS with its calculated powder XRD pattern. Radiation: Cu Kα (λ = 1.5418 Å). Structure: DFT lattice parameters and positions (PBE).
Kinematic intensities with the Lorentz-polarization factor, no thermal factor.

Cell and atoms:
a b c (Å): 6.814 9.009 27.195
angles (deg): 81.83 84.20 78.42
Space group P1 (No. 1)
One atom of each set of equivalent atoms:
As (0.000, 0.000, 0.000) x1
As (0.004, 0.308, 0.916) x1
As (0.034, 0.088, 0.436) x1
As (0.042, 0.469, 0.743) x1
As (0.158, 0.608, 0.000) x1
As (0.184, 0.598, 0.802) x1
As (0.246, 0.520, 0.276) x1
As (0.265, 0.256, 0.329) x1
As (0.318, 0.055, 0.138) x1
As (0.381, 0.368, 0.041) x1
As (0.434, 0.727, 0.949) x1
As (0.452, 0.739, 0.502) x1
As (0.476, 0.163, 0.539) x1
As (0.477, 0.578, 0.150) x1
As (0.526, 0.659, 0.653) x1
As (0.547, 0.917, 0.426) x1
As (0.615, 0.109, 0.624) x1
As (0.620, 0.093, 0.162) x1
As (0.650, 0.137, 0.454) x1
As (0.763, 0.658, 0.447) x1
As (0.805, 0.664, 0.789) x1
As (0.823, 0.204, 0.858) x1
As (0.899, 0.733, 0.195) x1
As (0.984, 0.785, 0.663) x1
S (0.073, 0.906, 0.380) x1
S (0.081, 0.787, 0.054) x1
S (0.144, 0.120, 0.275) x1
S (0.153, 0.274, 0.097) x1
S (0.189, 0.929, 0.928) x1
S (0.226, 0.451, 0.878) x1
S (0.270, 0.589, 0.469) x1
S (0.270, 0.795, 0.700) x1
S (0.396, 0.548, 0.605) x1
S (0.444, 0.951, 0.593) x1
S (0.480, 0.395, 0.219) x1
S (0.578, 0.803, 0.014) x1
S (0.600, 0.880, 0.219) x1
S (0.604, 0.421, 0.088) x1
S (0.660, 0.007, 0.987) x1
S (0.700, 0.429, 0.890) x1
S (0.779, 0.873, 0.728) x1
S (0.799, 0.618, 0.135) x1
S (0.928, 0.028, 0.320) x1
S (0.930, 0.526, 0.255) x1
S (0.939, 0.251, 0.777) x1
S (0.945, 0.013, 0.610) x1
S (0.977, 0.304, 0.380) x1
S (0.988, 0.643, 0.507) x1

Main lines, by intensity (15° ≤ 2θ ≤ 90°):
2θ/deg  d_spacing  intensity  h k l
15.59  5.684  100  0 1 4
30.31  2.949  57  0 2 -6
15.29  5.793  41  1 0 -2
15.99  5.544  35  1 0 3
18.51  4.794  28  -1 1 1
26.82  3.325  27  2 1 2
19.47  4.559  25  1 0 -4
22.03  4.035  25  1 2 2
28.44  3.138  23  2 1 4
29.81  2.997  23  2 1 5